(1)
For NbTlHg2, a cell relaxed with GGA-PBE gives the calculated PXRD pattern in this record (copper Kα).
Neutral-atom scattering factors, no anomalous dispersion.

Atomic structure:
Lattice parameters (Å, degrees): 7.979 7.979 5.994 90.00 90.00 90.00
Fractional coordinates of all 16 atoms:
1 Nb 0.000 0.000 0.000
2 Nb 0.000 0.500 0.250
3 Nb 0.500 0.000 0.750
4 Nb 0.500 0.500 0.500
5 Tl 0.000 0.000 0.500
6 Tl 0.000 0.500 0.750
7 Tl 0.500 0.000 0.250
8 Tl 0.500 0.500 0.000
9 Hg 0.236 0.250 0.125
10 Hg 0.250 0.736 0.375
11 Hg 0.250 0.764 0.875
12 Hg 0.264 0.250 0.625
13 Hg 0.736 0.750 0.625
14 Hg 0.750 0.236 0.875
15 Hg 0.750 0.264 0.375
16 Hg 0.764 0.750 0.125

Top 10 peaks for 2θ = 15–90°, by angle:
- (2 2 0), 31.72 deg, d = 2.821 Å, I 100
- (1 1 2), 33.87 deg, d = 2.647 Å, I 87
- (4 0 0), 45.47 deg, d = 1.995 Å, I 37
- (3 1 2), 47.08 deg, d = 1.930 Å, I 69
- (3 3 2), 57.89 deg, d = 1.593 Å, I 18
- (2 0 4), 66.68 deg, d = 1.403 Å, I 24
- (5 1 2), 67.53 deg, d = 1.387 Å, I 23
- (6 2 0), 75.34 deg, d = 1.262 Å, I 16
- (5 3 2), 76.54 deg, d = 1.245 Å, I 16
- (4 2 4), 84.42 deg, d = 1.147 Å, I 25

***

(2)
For UNbHg, a cell relaxed with GGA-PBE gives the calculated PXRD pattern in this record (copper Kα).
Neutral-atom scattering factors, no anomalous dispersion.

Atomic structure:
Lattice parameters (Å, degrees): 5.247 8.487 5.790 90.00 90.00 90.00
Fractional coordinates of all 12 atoms:
1 U 0.000 0.000 0.000
2 U 0.000 0.000 0.500
3 U 0.500 0.500 0.000
4 U 0.500 0.500 0.500
5 Nb 0.000 0.285 0.250
6 Nb 0.000 0.715 0.750
7 Nb 0.500 0.215 0.750
8 Nb 0.500 0.785 0.250
9 Hg 0.000 0.356 0.750
10 Hg 0.000 0.644 0.250
11 Hg 0.500 0.144 0.250
12 Hg 0.500 0.856 0.750

Top 10 peaks for 2θ = 15–90°, by angle:
- (0 2 1), 26.03 deg, d = 3.423 Å, I 21
- (2 0 0), 34.18 deg, d = 2.624 Å, I 61
- (1 3 0), 36.07 deg, d = 2.490 Å, I 85
- (1 1 2), 37.01 deg, d = 2.429 Å, I 100
- (0 2 2), 37.61 deg, d = 2.391 Å, I 45
- (2 2 2), 51.72 deg, d = 1.767 Å, I 36
- (3 3 0), 62.42 deg, d = 1.488 Å, I 18
- (3 1 2), 63.06 deg, d = 1.474 Å, I 22
- (2 4 2), 65.08 deg, d = 1.433 Å, I 18
- (1 3 4), 76.06 deg, d = 1.251 Å, I 20

***

(3)
For Nb3VHg, a cell relaxed with GGA-PBE gives the calculated PXRD pattern in this record (copper Kα).
Neutral-atom scattering factors, no anomalous dispersion.

Atomic structure:
Lattice parameters (Å, degrees): 4.661 4.661 4.661 90.00 90.00 90.00
Fractional coordinates of all 5 atoms:
1 Nb 0.000 0.000 0.500
2 Nb 0.000 0.500 0.000
3 Nb 0.500 0.000 0.000
4 V 0.000 0.000 0.000
5 Hg 0.500 0.500 0.500

Top 10 peaks for 2θ = 15–90°, by angle:
- (1 1 0), 27.05 deg, d = 3.296 Å, I 32
- (1 1 1), 33.29 deg, d = 2.691 Å, I 100
- (2 0 0), 38.63 deg, d = 2.331 Å, I 75
- (2 1 1), 47.80 deg, d = 1.903 Å, I 14
- (2 2 0), 55.78 deg, d = 1.648 Å, I 51
- (3 1 0), 63.07 deg, d = 1.474 Å, I 6
- (3 1 1), 66.53 deg, d = 1.405 Å, I 41
- (2 2 2), 69.91 deg, d = 1.346 Å, I 17
- (3 2 1), 76.46 deg, d = 1.246 Å, I 7
- (4 0 0), 82.84 deg, d = 1.165 Å, I 8

***

(4)
For Y3NbHg, a cell relaxed with GGA-PBE gives the calculated PXRD pattern in this record (copper Kα).
Neutral-atom scattering factors, no anomalous dispersion.

Atomic structure:
Lattice parameters (Å, degrees): 5.419 5.419 5.419 90.00 90.00 90.00
Fractional coordinates of all 5 atoms:
1 Y 0.000 0.000 0.500
2 Y 0.000 0.500 0.000
3 Y 0.500 0.000 0.000
4 Nb 0.000 0.000 0.000
5 Hg 0.500 0.500 0.500

Top 10 peaks for 2θ = 15–90°, by angle:
- (1 1 0), 23.21 deg, d = 3.832 Å, I 62
- (1 1 1), 28.53 deg, d = 3.129 Å, I 86
- (2 0 0), 33.06 deg, d = 2.710 Å, I 100
- (2 1 1), 40.78 deg, d = 2.213 Å, I 30
- (2 2 0), 47.45 deg, d = 1.916 Å, I 72
- (3 1 1), 56.30 deg, d = 1.634 Å, I 38
- (2 2 2), 59.05 deg, d = 1.564 Å, I 25
- (3 2 1), 64.31 deg, d = 1.448 Å, I 16
- (4 2 0), 79.01 deg, d = 1.212 Å, I 32
- (4 2 2), 88.35 deg, d = 1.106 Å, I 25

***

- Number 2 is which compound?
  UNbHg